Entry 1:
Diffraction record for Ac2Cd4InAg3. The powder diffraction line list is calculated, not measured: it uses a DFT-relaxed cell (GGA-PBE, Alexandria) and Cu Kα (weighted mean of Kα1 and Kα2).

Largest 8 diffraction maxima, most intense first, 2θ from 10° to 90°:
2θ/deg  I/Imax  index
31.19  100  1 1 2
28.93  53  1 0 3
39.57  49  2 0 0
40.95  37  1 0 5
58.26  26  2 1 5
49.76  24  2 1 3
66.61  22  3 1 2
57.21  16  2 2 0

Cell and atoms:
Cell: 4.5547 4.5547 12.5915 Å, 90.00 90.00 90.00°
Space group P-4m2 (No. 115)
Unique sites:
Ac 0.0000 0.5000 0.2452 [2 per cell]
Cd 0.0000 0.0000 0.0000 [1 per cell]
Cd 0.0000 0.5000 0.6403 [2 per cell]
Cd 0.5000 0.5000 0.0000 [1 per cell]
In 0.0000 0.0000 0.5000 [1 per cell]
Ag 0.0000 0.5000 0.8595 [2 per cell]
Ag 0.5000 0.5000 0.5000 [1 per cell]

Entry 2:
Diffraction record for Ac2CdIn4Ag3. The powder diffraction line list is calculated, not measured: it uses a DFT-relaxed cell (GGA-PBE, Alexandria) and Cu Kα (weighted mean of Kα1 and Kα2).

Largest 8 diffraction maxima, most intense first, 2θ from 10° to 90°:
2θ/deg  I/Imax  index
30.78  100  1 1 2
29.43  58  1 0 3
38.26  55  2 0 0
42.53  33  1 0 5
48.99  28  2 1 3
58.52  25  2 1 5
64.56  24  3 1 2
55.22  19  2 2 0

Cell and atoms:
Cell: 4.7048 4.7048 11.9135 Å, 90.00 90.00 90.00°
Space group P-4m2 (No. 115)
Unique sites:
Ac 0.0000 0.5000 0.2503 [2 per cell]
Cd 0.0000 0.0000 0.5000 [1 per cell]
In 0.0000 0.0000 0.0000 [1 per cell]
In 0.0000 0.5000 0.6370 [2 per cell]
In 0.5000 0.5000 0.0000 [1 per cell]
Ag 0.0000 0.5000 0.8654 [2 per cell]
Ag 0.5000 0.5000 0.5000 [1 per cell]

Entry 3:
Diffraction record for Ac2MgCdAg6. The powder diffraction line list is calculated, not measured: it uses a DFT-relaxed cell (GGA-PBE, Alexandria) and Cu Kα (weighted mean of Kα1 and Kα2).

Largest 8 diffraction maxima, most intense first, 2θ from 10° to 90°:
2θ/deg  I/Imax  index
36.43  100  2 0 2
26.09  75  1 0 2
26.19  60  1 2 0
38.21  55  0 2 -2
37.66  39  1 -2 0
36.50  38  2 2 0
37.53  37  1 1 3
26.76  33  0 2 0

Cell and atoms:
Cell: 5.7785 7.2557 7.3006 Å, 80.66 66.75 66.67°
Space group P-1 (No. 2)
Unique sites:
Ac 0.0325 0.2240 0.2109 [2 per cell]
Mg 0.5000 0.0000 0.5000 [1 per cell]
Cd 0.5000 0.5000 0.0000 [1 per cell]
Ag 0.0055 0.2426 0.7437 [2 per cell]
Ag 0.3303 0.4198 0.4213 [2 per cell]
Ag 0.4925 0.7582 0.2553 [2 per cell]

Entry 4:
Diffraction record for AcMg2Cd2Ag. The powder diffraction line list is calculated, not measured: it uses a DFT-relaxed cell (GGA-PBE, Alexandria) and Cu Kα (weighted mean of Kα1 and Kα2).

Largest 8 diffraction maxima, most intense first, 2θ from 10° to 90°:
2θ/deg  I/Imax  index
23.28  100  1 1 0
33.16  59  2 0 0
37.79  43  1 1 4
27.52  43  1 0 3
44.86  40  2 0 4
29.35  32  0 0 4
47.60  21  2 2 0
53.64  21  3 1 0

Cell and atoms:
Cell: 5.4034 5.4034 12.1733 Å, 90.00 90.00 90.00°
Space group I4/mmm (No. 139)
Unique sites:
Ac 0.0000 0.0000 0.0000 [2 per cell]
Mg 0.0000 0.5000 0.2500 [4 per cell]
Cd 0.0000 0.0000 0.2814 [4 per cell]
Ag 0.0000 0.0000 0.5000 [2 per cell]

Which formula does entry 1 have?
Ac2Cd4InAg3